(1)
Starting from the GGA+U geometry in the Materials Project, the X-ray powder pattern of Li3Mn4O8 was simulated for copper Kα.
No peak broadening, texture or thermal motion is included.

Crystal structure
abc: 5.3143 5.7465 6.0795
angles: 117.74 110.29 90.09
Space group P1 (No. 1)
Inequivalent atoms, fractional coordinates:
Li (0.0000, 0.0000, 0.0000) (multiplicity 1)
Li (0.0002, 0.4956, 0.0001) (multiplicity 1)
Li (0.9854, 0.0008, 0.5067) (multiplicity 1)
Mn (0.4902, 0.7440, 0.9927) (multiplicity 1)
Mn (0.4984, 0.2491, 0.4984) (multiplicity 1)
Mn (0.4975, 0.7449, 0.4984) (multiplicity 1)
Mn (0.5102, 0.2511, 0.0065) (multiplicity 1)
O (0.2725, 0.8961, 0.7821) (multiplicity 1)
O (0.2740, 0.3832, 0.7829) (multiplicity 1)
O (0.2854, 0.3834, 0.2723) (multiplicity 1)
O (0.2892, 0.8671, 0.2405) (multiplicity 1)
O (0.6958, 0.6281, 0.7593) (multiplicity 1)
O (0.7262, 0.0900, 0.2138) (multiplicity 1)
O (0.7283, 0.1059, 0.7159) (multiplicity 1)
O (0.7278, 0.6181, 0.2139) (multiplicity 1)

Largest 6 diffraction maxima, by angle, 2θ from 5° to 70°:
Position (°2θ)  I (rel.)  hkl
18.2  100  1 0 0
33.6  18  1 0 -2
36.3  15  0 2 -2
40.4  28  2 0 -2
43.9  21  1 2 0
44.2  21  1 -2 2

(2)
Starting from the GGA+U geometry in the Materials Project, the X-ray powder pattern of CsMoIO6 was simulated for copper Kα.
No peak broadening, texture or thermal motion is included.

Crystal structure
abc: 8.0501 10.6841 7.5361
angles: 90.00 90.00 90.00
Space group Pna2_1 (No. 33)
Inequivalent atoms, fractional coordinates:
Cs (0.0147, 0.1230, 0.0000) (multiplicity 4)
Mo (0.0081, 0.4735, 0.2218) (multiplicity 4)
I (0.2264, 0.7396, 0.0551) (multiplicity 4)
O (0.0536, 0.5114, 0.9647) (multiplicity 4)
O (0.0742, 0.1573, 0.5434) (multiplicity 4)
O (0.1388, 0.6549, 0.2508) (multiplicity 4)
O (0.1395, 0.6414, 0.6687) (multiplicity 4)
O (0.1909, 0.3862, 0.2557) (multiplicity 4)
O (0.2177, 0.3817, 0.6785) (multiplicity 4)

Largest 6 diffraction maxima, by angle, 2θ from 5° to 70°:
Position (°2θ)  I (rel.)  hkl
23.2  39  1 2 1
26.5  88  2 1 1
27.4  100  1 1 2
27.7  94  0 3 1
42.2  28  3 3 0
47.4  39  2 4 2

(3)
Starting from the GGA+U geometry in the Materials Project, the X-ray powder pattern of MgZn2W2O8 was simulated for copper Kα.
No peak broadening, texture or thermal motion is included.

Crystal structure
abc: 5.0834 6.4110 5.1488
angles: 90.00 102.08 90.00
Space group P2 (No. 3)
Inequivalent atoms, fractional coordinates:
Mg (0.0000, 0.0000, 0.0000) (multiplicity 1)
Zn (0.5000, 0.2222, 0.0000) (multiplicity 1)
Zn (0.5000, 0.8224, 0.5000) (multiplicity 1)
W (0.0000, 0.2470, 0.5000) (multiplicity 1)
W (0.0000, 0.5414, 0.0000) (multiplicity 1)
O (0.2103, 0.2698, 0.2060) (multiplicity 2)
O (0.2131, 0.4764, 0.7377) (multiplicity 2)
O (0.2208, 0.7667, 0.1961) (multiplicity 2)
O (0.2489, 0.0490, 0.7114) (multiplicity 2)

Largest 6 diffraction maxima, by angle, 2θ from 5° to 70°:
Position (°2θ)  I (rel.)  hkl
13.8  49  0 1 0
17.8  57  1 0 0
22.6  51  1 1 0
26.4  100  1 1 -1
31.1  57  1 1 1
39.7  52  1 2 1

(4)
Starting from the GGA+U geometry in the Materials Project, the X-ray powder pattern of BaNaSmWO6 was simulated for copper Kα.
No peak broadening, texture or thermal motion is included.

Crystal structure
abc: 8.4134 8.4631 8.4835
angles: 90.00 90.00 90.00
Space group Pnnn (No. 48, origin choice 2)
Inequivalent atoms, fractional coordinates:
Ba (0.2500, 0.2500, 0.2500) (multiplicity 2)
Ba (0.2500, 0.2500, 0.7500) (multiplicity 2)
Na (0.2500, 0.7500, 0.2500) (multiplicity 2)
Na (0.2500, 0.7500, 0.7500) (multiplicity 2)
Sm (0.0000, 0.0000, 0.0000) (multiplicity 4)
W (0.0000, 0.0000, 0.5000) (multiplicity 4)
O (0.0209, 0.7278, 0.0338) (multiplicity 8)
O (0.0293, 0.5303, 0.7721) (multiplicity 8)
O (0.2294, 0.0317, 0.4785) (multiplicity 8)

Largest 6 diffraction maxima, by angle, 2θ from 5° to 70°:
Position (°2θ)  I (rel.)  hkl
21.0  25  0 0 2
29.9  100  0 2 2
30.0  49  2 2 0
53.0  43  2 4 2
53.2  21  4 2 2
62.2  17  4 0 4